Diffraction record for Na2VAuF6. The powder X-ray diffraction pattern is calculated, not measured: it uses a crystal structure in the Materials Project, relaxed with GGA+U and Cu Kα X-rays.

Cell and atoms:
Lattice parameters (Å, degrees): 6.1609 6.1609 6.1609 60.00 60.00 60.00
Fractional positions:
1 Na 0.2500 0.2500 0.2500
2 Na 0.7500 0.7500 0.7500
3 V 0.0000 0.0000 0.0000
4 Au 0.5000 0.5000 0.5000
5 F 0.2232 0.2232 0.7768
6 F 0.2232 0.7768 0.2232
7 F 0.2232 0.7768 0.7768
8 F 0.7768 0.2232 0.2232
9 F 0.7768 0.2232 0.7768
10 F 0.7768 0.7768 0.2232

Peak list (8 most intense, 2θ = 5–70°, low angle first)
two_theta  I_rel
17.63  46
20.39  100
28.99  98
34.13  44
41.46  44
45.37  28
46.62  42
51.38  39